No. 1
Diffraction record for Sn3Mo2W4C3. The XRD peak list is theoretical, not measured: it uses a crystal structure in OQMD, relaxed with GGA-PBE and a wavelength of 1.5418 Å.
Neutral-atom scattering factors, no anomalous dispersion.

Crystal structure
```
data_Sn3Mo2W4C3
_cell_length_a 9.6163
_cell_length_b 5.5402
_cell_length_c 13.8892
_cell_angle_alpha 90.00
_cell_angle_beta 103.29
_cell_angle_gamma 90.00
_symmetry_space_group_name_H-M 'C 1 2/c 1'
_symmetry_Int_Tables_number 15
loop_
_symmetry_equiv_pos_as_xyz
'x,y,z'
'-x,-y,-z'
'-x,y,-z+1/2'
'x,-y,z+1/2'
'x+1/2,y+1/2,z'
'-x+1/2,-y+1/2,-z'
'-x+1/2,y+1/2,-z+1/2'
'x+1/2,-y+1/2,z+1/2'
loop_
_atom_site_label
_atom_site_fract_x
_atom_site_fract_y
_atom_site_fract_z
Sn1 0.0000 0.0788 0.2500
Sn2 0.1684 0.4168 0.7505
Mo1 0.0504 0.4197 0.4162
W1 0.1093 0.0914 0.5799
W2 0.2274 0.0785 0.9201
C1 0.0852 0.2457 0.9998
C2 0.2500 0.2500 0.5000
```

Top 10 peaks for 5 to 70 degrees two-theta, low angle first:
index, Position (°2θ), I_rel
0 0 2, 13.10, 5
1 1 0, 18.61, 2
2 0 2, 25.54, 2
0 2 0, 32.28, 23
3 1 -4, 38.11, 100
0 0 6, 40.02, 18
3 1 -7, 52.32, 14
6 0 -2, 57.50, 7
3 3 -1, 57.60, 14
6 2 -2, 67.52, 2

No. 2
Diffraction record for Ta4Zn3Mo2C3. The XRD peak list is theoretical, not measured: it uses a crystal structure in OQMD, relaxed with GGA-PBE and a wavelength of 1.5418 Å.
Neutral-atom scattering factors, no anomalous dispersion.

Crystal structure
```
data_Ta4Zn3Mo2C3
_cell_length_a 9.3189
_cell_length_b 5.3846
_cell_length_c 13.8888
_cell_angle_alpha 90.00
_cell_angle_beta 103.02
_cell_angle_gamma 90.00
_symmetry_space_group_name_H-M 'C 1 2/c 1'
_symmetry_Int_Tables_number 15
loop_
_symmetry_equiv_pos_as_xyz
'x,y,z'
'-x,-y,-z'
'-x,y,-z+1/2'
'x,-y,z+1/2'
'x+1/2,y+1/2,z'
'-x+1/2,-y+1/2,-z'
'-x+1/2,y+1/2,-z+1/2'
'x+1/2,-y+1/2,z+1/2'
loop_
_atom_site_label
_atom_site_fract_x
_atom_site_fract_y
_atom_site_fract_z
Ta1 0.1133 0.0850 0.0906
Ta2 0.2206 0.0830 0.4094
Zn1 0.0000 0.1139 0.7500
Zn2 0.1521 0.4311 0.2505
Mo1 0.0554 0.4174 0.9184
C1 0.0854 0.2441 0.5000
C2 0.2500 0.2500 0.0000
```

Top 10 peaks for 5 to 70 degrees two-theta, low angle first:
index, Position (°2θ), I_rel
0 0 2, 13.09, 19
0 0 4, 26.34, 7
3 1 -1, 33.29, 34
3 1 -2, 33.96, 13
0 2 3, 38.95, 100
3 1 2, 39.00, 49
0 0 6, 39.98, 28
3 1 5, 52.97, 21
3 1 -8, 58.81, 6
6 0 -2, 59.49, 29